# 1
The following is a simulated powder diffraction line list of Cs6Rb9Li. It was derived from a GGA-PBE-relaxed structure, using Cu Kα (weighted mean of Kα1 and Kα2).
No peak broadening, texture or thermal motion is included.

```
data_Cs6Rb9Li
_chemical_formula_sum 'Cs12 Rb18 Li2'
_symmetry_space_group_name_H-M 'I 4/m'
_symmetry_Int_Tables_number 87
_symmetry_space_group_name_Hall '-I 4'
_cell_length_a 11.9322
_cell_length_b 11.9322
_cell_length_c 21.7826
_cell_angle_alpha 90.00
_cell_angle_beta 90.00
_cell_angle_gamma 90.00
loop_
_atom_site_label
_atom_site_fract_x
_atom_site_fract_y
_atom_site_fract_z
Cs1 0.0000 0.0000 0.1826
Cs2 0.1180 0.6855 0.0000
Rb1 0.0000 0.0000 0.5000
Rb2 0.1033 0.6949 0.3305
Li1 0.0000 0.0000 0.0000
```

Principal peaks in the range 2θ = 5–70°, by angle:
| d/Å | 2θ (°) | Rel. int. |
| --- | --- | --- |
| 4.300 | 20.7 | 100 |
| 3.773 | 23.6 | 37 |
| 3.630 | 24.5 | 16 |
| 2.668 | 33.6 | 14 |
| 2.616 | 34.3 | 26 |
| 2.267 | 39.8 | 34 |
| 2.204 | 40.9 | 15 |
| 2.150 | 42.0 | 14 |

---

# 2
The following is a simulated powder diffraction line list of KBS4Cl4O12. It was derived from a GGA-PBE-relaxed structure, using Cu Kα (weighted mean of Kα1 and Kα2).
No peak broadening, texture or thermal motion is included.

```
data_KBS4Cl4O12
_chemical_formula_sum 'K4 B4 S16 Cl16 O48'
_symmetry_space_group_name_H-M 'C 1 c 1'
_symmetry_Int_Tables_number 9
_cell_length_a 8.3249
_cell_length_b 20.7828
_cell_length_c 10.9195
_cell_angle_alpha 90.00
_cell_angle_beta 108.45
_cell_angle_gamma 90.00
loop_
_symmetry_equiv_pos_as_xyz
'x,y,z'
'x,-y,z+1/2'
'x+1/2,y+1/2,z'
'x+1/2,-y+1/2,z+1/2'
loop_
_atom_site_label
_atom_site_fract_x
_atom_site_fract_y
_atom_site_fract_z
K1 0.0000 0.0793 0.0000
B1 0.0675 0.3778 0.9074
S1 0.1898 0.3532 0.7088
S2 0.3312 0.0258 0.3501
S3 0.3497 0.4074 0.1077
S4 0.4016 0.2277 0.4547
Cl1 0.0569 0.1461 0.6189
Cl2 0.1664 0.2458 0.3315
Cl3 0.4623 0.0437 0.7914
Cl4 0.4698 0.1724 0.0693
O1 0.1240 0.3979 0.7974
O2 0.2080 0.3618 0.0261
O3 0.2378 0.0617 0.2375
O4 0.2442 0.0052 0.9279
O5 0.2646 0.2955 0.7738
O6 0.2802 0.3933 0.6461
O7 0.3383 0.4117 0.2359
O8 0.3589 0.4651 0.0377
O9 0.3841 0.1961 0.5666
O10 0.4638 0.1807 0.3681
O11 0.4747 0.0673 0.4416
O12 0.4948 0.2870 0.4692
```

Principal peaks in the range 2θ = 5–70°, by angle:
| d/Å | 2θ (°) | Rel. int. |
| --- | --- | --- |
| 7.345 | 12.0 | 59 |
| 5.314 | 16.7 | 53 |
| 5.099 | 17.4 | 56 |
| 3.750 | 23.7 | 74 |
| 3.680 | 24.2 | 70 |
| 3.668 | 24.3 | 72 |
| 3.639 | 24.5 | 100 |
| 3.557 | 25.0 | 80 |